No. 1
Simulated X-ray diffraction stick pattern
Compound: Na8Si7O18
Radiation: Cu Kα
Structure: a cell relaxed with GGA-PBE

Atomic structure:
```
data_Na8Si7O18
_chemical_formula_sum 'Na8 Si7 O18'
_space_group_name_H-M_alt 'P 1'
_space_group_IT_number 1
_cell_length_a 6.2781
_cell_length_b 9.0687
_cell_length_c 10.9707
_cell_angle_alpha 103.33
_cell_angle_beta 101.12
_cell_angle_gamma 104.51
loop_
_space_group_symop_operation_xyz
'x,y,z'
loop_
_atom_site_label
_atom_site_type_symbol
_atom_site_fract_x
_atom_site_fract_y
_atom_site_fract_z
Na1 Na 0.0000 0.0000 0.0000
Na2 Na 0.0043 0.2014 0.2387
Na3 Na 0.3417 0.4571 0.0637
Na4 Na 0.3689 0.7634 0.9782
Na5 Na 0.3819 0.3251 0.5060
Na6 Na 0.6934 0.5944 0.7783
Na7 Na 0.8262 0.3746 0.9946
Na8 Na 0.8876 0.4391 0.4807
Si1 Si 0.2071 0.8221 0.2668
Si2 Si 0.2120 0.4302 0.7797
Si3 Si 0.3626 0.5806 0.3708
Si4 Si 0.3936 0.9095 0.5263
Si5 Si 0.5181 0.2551 0.2006
Si6 Si 0.5421 0.9788 0.7729
Si7 Si 0.7707 0.2239 0.6692
O1 O 0.0415 0.2420 0.6903
O2 O 0.1108 0.5126 0.8940
O3 O 0.1292 0.8534 0.1335
O4 O 0.1768 0.4338 0.3789
O5 O 0.2574 0.2252 0.1171
O6 O 0.2711 0.6530 0.2474
O7 O 0.3012 0.5260 0.6852
O8 O 0.4265 0.3694 0.8591
O9 O 0.4424 0.7379 0.5015
O10 O 0.5463 0.2212 0.3397
O11 O 0.5929 0.5200 0.9482
O12 O 0.6214 0.0570 0.5468
O13 O 0.6251 0.5691 0.3674
O14 O 0.6260 0.8854 0.8672
O15 O 0.6385 0.4715 0.2393
O16 O 0.6820 0.2025 0.1126
O17 O 0.7089 0.3745 0.6446
O18 O 0.7105 0.1596 0.7970
```

Top 8 peaks for 5° ≤ 2θ ≤ 70°, sorted by position:
h k l  two_theta  intensity
0 1 0  10.54  100.0
1 0 0  15.12  44.1
1 0 -1  15.28  35.7
1 -1 0  15.53  26.3
-1 1 1  17.32  39.1
0 1 -2  17.37  36.7
1 1 -1  19.79  21.1
0 2 2  31.21  19.6

No. 2
Simulated X-ray diffraction stick pattern
Compound: BaVS3
Radiation: Cu Kα
Structure: a cell relaxed with GGA-PBE

Atomic structure:
```
data_BaVS3
_chemical_formula_sum 'Ba8 V8 S24'
_space_group_name_H-M_alt 'C 1 m 1'
_space_group_IT_number 8
_cell_length_a 16.2092
_cell_length_b 6.8373
_cell_length_c 11.2768
_cell_angle_alpha 90.00
_cell_angle_beta 133.95
_cell_angle_gamma 90.00
loop_
_space_group_symop_operation_xyz
'x,y,z'
'x,-y,z'
'x+1/2,y+1/2,z'
'x+1/2,-y+1/2,z'
loop_
_atom_site_label
_atom_site_type_symbol
_atom_site_fract_x
_atom_site_fract_y
_atom_site_fract_z
Ba1 Ba 0.0000 0.0000 0.0000
Ba2 Ba 0.0029 0.0000 0.5078
Ba3 Ba 0.1730 0.5000 0.9267
Ba4 Ba 0.1788 0.5000 0.4299
V1 V 0.3137 0.0000 0.6842
V2 V 0.3171 0.0000 0.1900
V3 V 0.3624 0.0000 0.4798
V4 V 0.3628 0.0000 0.9901
S1 S 0.0080 0.5000 0.5000
S2 S 0.0100 0.5000 0.0136
S3 S 0.1691 0.0000 0.4161
S4 S 0.1701 0.0000 0.9184
S5 S 0.2578 0.2385 0.7639
S6 S 0.2577 0.2403 0.2642
S7 S 0.4180 0.2442 0.1742
S8 S 0.4207 0.2380 0.6760
```

Top 8 peaks for 5° ≤ 2θ ≤ 70°, sorted by position:
h k l  two_theta  intensity
3 1 -2  21.80  53.4
0 0 2  21.92  29.8
0 2 0  26.06  27.8
3 1 0  26.36  49.9
4 2 -2  34.31  100.0
2 0 2  34.62  45.6
5 1 -4  35.29  26.6
2 2 -4  44.45  28.6

No. 3
Simulated X-ray diffraction stick pattern
Compound: LaYCo10
Radiation: Cu Kα
Structure: a cell relaxed with GGA-PBE

Atomic structure:
```
data_LaYCo10
_chemical_formula_sum 'La1 Y1 Co10'
_space_group_name_H-M_alt 'P m m m'
_space_group_IT_number 47
_cell_length_a 3.9621
_cell_length_b 4.9614
_cell_length_c 8.6415
_cell_angle_alpha 90.00
_cell_angle_beta 90.00
_cell_angle_gamma 90.00
loop_
_space_group_symop_operation_xyz
'x,y,z'
'-x,-y,-z'
'-x,-y,z'
'x,y,-z'
'x,-y,-z'
'-x,y,z'
'-x,y,-z'
'x,-y,z'
loop_
_atom_site_label
_atom_site_type_symbol
_atom_site_fract_x
_atom_site_fract_y
_atom_site_fract_z
La1 La 0.0000 0.0000 0.0000
Y1 Y 0.0000 0.5000 0.5000
Co1 Co 0.0000 0.0000 0.3343
Co2 Co 0.0000 0.5000 0.1708
Co3 Co 0.5000 0.0000 0.5000
Co4 Co 0.5000 0.2576 0.2589
Co5 Co 0.5000 0.5000 0.0000
```

Top 8 peaks for 5° ≤ 2θ ≤ 70°, sorted by position:
h k l  two_theta  intensity
1 1 1  30.66  54.3
0 1 3  36.05  27.8
0 2 2  42.00  32.4
1 1 3  42.88  100.0
1 2 0  43.02  49.1
2 0 0  45.80  40.7
2 2 2  63.88  17.5
1 3 3  69.73  21.1

No. 4
Simulated X-ray diffraction stick pattern
Compound: K2NbAgS4
Radiation: Cu Kα
Structure: a cell relaxed with GGA-PBE

Atomic structure:
```
data_K2NbAgS4
_chemical_formula_sum 'K4 Nb2 Ag2 S8'
_space_group_name_H-M_alt 'P 1'
_space_group_IT_number 1
_cell_length_a 5.9647
_cell_length_b 7.3894
_cell_length_c 11.9321
_cell_angle_alpha 84.21
_cell_angle_beta 75.53
_cell_angle_gamma 66.20
loop_
_space_group_symop_operation_xyz
'x,y,z'
loop_
_atom_site_label
_atom_site_type_symbol
_atom_site_fract_x
_atom_site_fract_y
_atom_site_fract_z
K1 K 0.0000 0.0000 0.0000
K2 K 0.1009 0.4984 0.7761
K3 K 0.3597 0.9931 0.2821
K4 K 0.7404 0.4934 0.4992
Nb1 Nb 0.1749 0.9909 0.6391
Nb2 Nb 0.9194 0.5045 0.1391
Ag1 Ag 0.4190 0.4992 0.1372
Ag2 Ag 0.6696 0.9946 0.6383
S1 S 0.1223 0.7969 0.5267
S2 S 0.2990 0.2908 0.0288
S3 S 0.3420 0.1998 0.5213
S4 S 0.4260 0.8001 0.7567
S5 S 0.6689 0.6947 0.0244
S6 S 0.7617 0.2935 0.2552
S7 S 0.8028 0.2025 0.7593
S8 S 0.9866 0.7005 0.2540
```

Top 8 peaks for 5° ≤ 2θ ≤ 70°, sorted by position:
h k l  two_theta  intensity
0 1 1  15.18  100.0
0 0 2  15.34  62.3
0 1 -3  26.64  50.4
1 -1 2  27.37  32.2
2 0 1  32.82  28.3
2 0 -1  36.42  23.5
2 1 4  38.17  33.8
0 2 -4  41.11  36.9

No. 5
Simulated X-ray diffraction stick pattern
Compound: SmPuO3
Radiation: Cu Kα
Structure: a cell relaxed with GGA-PBE

Atomic structure:
```
data_SmPuO3
_chemical_formula_sum 'Sm1 Pu1 O3'
_space_group_name_H-M_alt 'P m -3 m'
_space_group_IT_number 221
_space_group_name_Hall '-P 4 2 3'
_cell_length_a 4.3536
_cell_length_b 4.3536
_cell_length_c 4.3536
_cell_angle_alpha 90.00
_cell_angle_beta 90.00
_cell_angle_gamma 90.00
loop_
_atom_site_label
_atom_site_type_symbol
_atom_site_fract_x
_atom_site_fract_y
_atom_site_fract_z
Sm1 Sm 0.0000 0.0000 0.0000
Pu1 Pu 0.5000 0.5000 0.5000
O1 O 0.0000 0.5000 0.5000
```

Top 8 peaks for 5° ≤ 2θ ≤ 70°, sorted by position:
h k l  two_theta  intensity
1 0 0  20.40  8.7
1 1 0  29.00  100.0
2 0 0  41.48  26.8
2 1 0  46.65  4.2
2 1 1  51.41  42.8
2 2 0  60.11  17.6
3 0 0  64.18  2.1
3 1 0  68.11  18.8

No. 6
Simulated X-ray diffraction stick pattern
Compound: Co2SbTe
Radiation: Cu Kα
Structure: a cell relaxed with GGA-PBE

Atomic structure:
```
data_Co2SbTe
_chemical_formula_sum 'Co2 Sb1 Te1'
_space_group_name_H-M_alt 'P -6 m 2'
_space_group_IT_number 187
_space_group_name_Hall 'P -6 2'
_cell_length_a 3.8983
_cell_length_b 3.8983
_cell_length_c 5.2473
_cell_angle_alpha 90.00
_cell_angle_beta 90.00
_cell_angle_gamma 120.00
loop_
_atom_site_label
_atom_site_type_symbol
_atom_site_fract_x
_atom_site_fract_y
_atom_site_fract_z
Co1 Co 0.0000 0.0000 0.2505
Sb1 Sb 0.6667 0.3333 0.0000
Te1 Te 0.3333 0.6667 0.5000
```

Top 8 peaks for 5° ≤ 2θ ≤ 70°, sorted by position:
h k l  two_theta  intensity
1 0 1  31.51  100.0
0 0 2  34.18  4.3
1 0 2  43.69  54.1
1 1 0  46.60  50.1
2 0 1  57.34  17.8
1 1 2  59.04  5.7
1 0 3  59.52  15.9
2 0 2  65.78  15.0